# Na4CaZr2TiSi4O16F2
Theoretical powder diffraction line list, copper Kα. Input: a cell relaxed with GGA-PBE.
Peak positions follow from Bragg's law for the DFT cell and can differ from measured ones.

Principal peaks in the range 2θ from 10° to 80°, by angle:
(hkl)  Position (°2θ)  d [Å]  I_rel
0 1 0  12.30  7.197  21
0 1 1  13.22  6.695  18
1 1 1  21.57  4.121  17
1 1 -4  25.47  3.497  17
0 0 6  29.35  3.043  61
1 2 1  30.56  2.926  100
2 0 -4  33.68  2.661  29
1 2 -5  36.18  2.482  23
1 2 7  48.83  1.865  33
0 4 0  50.74  1.799  18

Crystal structure
```
Na4CaZr2TiSi4O16F2
1.0
5.723 0.000 0.000
0.000 7.197 0.000
-4.223 0.000 18.255
Na Ca Zr Ti Si O F
8 2 4 2 8 32 4
direct
0.000 0.111 0.250 Na
0.000 0.889 0.750 Na
0.204 0.113 0.070 Na
0.204 0.887 0.570 Na
0.500 0.346 0.250 Na
0.500 0.654 0.750 Na
0.796 0.113 0.430 Na
0.796 0.887 0.930 Na
0.500 0.150 0.750 Ca
0.500 0.850 0.250 Ca
0.199 0.383 0.575 Zr
0.199 0.617 0.075 Zr
0.801 0.383 0.925 Zr
0.801 0.617 0.425 Zr
0.000 0.396 0.750 Ti
0.000 0.604 0.250 Ti
0.271 0.117 0.896 Si
0.271 0.883 0.396 Si
0.279 0.339 0.395 Si
0.279 0.661 0.895 Si
0.721 0.339 0.105 Si
0.721 0.661 0.605 Si
0.729 0.117 0.604 Si
0.729 0.883 0.104 Si
0.077 0.178 0.943 O
0.077 0.822 0.443 O
0.100 0.407 0.448 O
0.100 0.593 0.948 O
0.181 0.410 0.311 O
0.181 0.590 0.811 O
0.195 0.193 0.811 O
0.195 0.807 0.311 O
0.226 0.382 0.685 O
0.226 0.618 0.185 O
0.264 0.112 0.391 O
0.264 0.888 0.891 O
0.442 0.402 0.077 O
0.442 0.598 0.577 O
0.449 0.178 0.570 O
0.449 0.822 0.070 O
0.551 0.178 0.930 O
0.551 0.822 0.430 O
0.558 0.402 0.423 O
0.558 0.598 0.923 O
0.736 0.112 0.109 O
0.736 0.888 0.609 O
0.774 0.382 0.815 O
0.774 0.618 0.315 O
0.805 0.193 0.689 O
0.805 0.807 0.189 O
0.819 0.410 0.189 O
0.819 0.590 0.689 O
0.900 0.407 0.052 O
0.900 0.593 0.552 O
0.923 0.178 0.557 O
0.923 0.822 0.057 O
0.294 0.090 0.191 F
0.294 0.910 0.691 F
0.706 0.090 0.309 F
0.706 0.910 0.809 F
```